Computed powder X-ray diffraction pattern
Compound: MgPb
Radiation: Cu Kα, 1.54184 Å
Structure: the PBE geometry in the Materials Project

Largest 6 diffraction maxima, low angle first, 10° ≤ 2θ ≤ 80°:
| d (Å) | I_rel |
| --- | --- |
| 4.551 | 100 |
| 3.380 | 55 |
| 3.311 | 58 |
| 2.792 | 56 |
| 2.704 | 90 |
| 2.487 | 69 |

Structural model:
a b c (Å): 11.6690 3.4673 5.5173
angles (deg): 90.00 106.83 90.00
Space group C2/m (No. 12)
One atom of each set of equivalent atoms:
Mg 0.1282 0.0000 0.3005 [4 per cell]
Pb 0.1184 0.5000 0.7887 [4 per cell]